1.
Calculated PXRD pattern of Cs2Sb2Au5 for Cu Kα (weighted mean of Kα1 and Kα2), from the GGA-PBE geometry in Alexandria.
No peak broadening, texture or thermal motion is included.

Most intense lines, 15 to 90 degrees two-theta, in order of rising 2θ:
2θ/deg, I (rel.)
19.95, 53
27.15, 66
27.70, 98
29.48, 100
30.35, 47
38.60, 66
38.71, 64
40.25, 50
46.75, 42
49.40, 53

Structural model:
Cell lengths 7.985, 7.985, 9.670 Å; angles 91.23, 91.23, 33.88 degrees
Sites, in units of the cell vectors:
Cs1 0.104 0.104 0.282
Cs2 0.896 0.896 0.718
Sb1 0.358 0.358 0.153
Sb2 0.642 0.642 0.847
Au1 0.214 0.214 0.937
Au2 0.441 0.441 0.399
Au3 0.500 0.500 0.000
Au4 0.559 0.559 0.601
Au5 0.786 0.786 0.063

---

2.
Calculated PXRD pattern of Dy3HgIr for Cu Kα (weighted mean of Kα1 and Kα2), from the GGA-PBE geometry in Alexandria.
No peak broadening, texture or thermal motion is included.

Most intense lines, 15 to 90 degrees two-theta, in order of rising 2θ:
2θ/deg, I (rel.)
21.28, 43
31.72, 55
34.87, 38
35.27, 100
35.52, 39
35.84, 35
35.98, 45
37.04, 31
37.81, 65
43.33, 30

Structural model:
Cell lengths 5.758, 5.868, 8.736 Å; angles 101.18, 100.86, 113.28 degrees
Sites, in units of the cell vectors:
Dy1 0.067 0.196 0.280
Dy2 0.299 0.432 0.722
Dy3 0.299 0.799 0.102
Dy4 0.701 0.201 0.898
Dy5 0.701 0.568 0.278
Dy6 0.933 0.804 0.720
Hg1 0.285 0.772 0.489
Hg2 0.715 0.228 0.511
Ir1 0.250 0.249 0.000
Ir2 0.750 0.751 0.000

---

3.
Calculated PXRD pattern of ScTl2Te2O6 for Cu Kα (weighted mean of Kα1 and Kα2), from the GGA-PBE geometry in Alexandria.
No peak broadening, texture or thermal motion is included.

Most intense lines, 15 to 90 degrees two-theta, in order of rising 2θ:
2θ/deg, I (rel.)
19.69, 30
25.94, 74
28.60, 50
31.13, 69
31.26, 100
32.37, 39
38.99, 37
49.12, 22
49.22, 45
49.85, 20

Structural model:
Cell lengths 5.919, 5.919, 6.295 Å; angles 106.11, 106.11, 70.93 degrees
Sites, in units of the cell vectors:
Sc1 0.000 0.000 0.000
Tl1 0.186 0.186 0.606
Tl2 0.814 0.814 0.394
Te1 0.449 0.449 0.233
Te2 0.551 0.551 0.767
O1 0.180 0.768 0.231
O2 0.232 0.820 0.769
O3 0.243 0.243 0.172
O4 0.757 0.757 0.828
O5 0.768 0.180 0.231
O6 0.820 0.232 0.769